1.
This entry pairs a crystal structure of Tb3CrB7 with its computed powder diffraction line list. Radiation: Cu Kα (weighted mean of Kα1 and Kα2). Structure: a structure optimized by DFT (GGA-PBE).

Main lines, sorted by position (2θ from 15° to 90°):
- 3.378 Å, 2θ 26.39, rel. 76
- 3.035 Å, 2θ 29.43, rel. 97
- 2.912 Å, 2θ 30.70, rel. 70
- 2.767 Å, 2θ 32.35, rel. 61
- 2.652 Å, 2θ 33.80, rel. 42
- 2.342 Å, 2θ 38.43, rel. 44
- 2.295 Å, 2θ 39.25, rel. 100
- 2.272 Å, 2θ 39.68, rel. 39
- 2.095 Å, 2θ 43.18, rel. 43
- 1.575 Å, 2θ 58.61, rel. 42

Structural model:
Lattice parameters (Å, degrees): 8.1415 8.1415 9.3872 90.00 90.00 155.49
Element x y z (fractional)
1 Tb 0.1048 0.8952 0.5603
2 Tb 0.1048 0.8952 0.9397
3 Tb 0.2415 0.7585 0.2500
4 Tb 0.7585 0.2415 0.7500
5 Tb 0.8952 0.1048 0.0603
6 Tb 0.8952 0.1048 0.4397
7 Cr 0.0539 0.9461 0.2500
8 Cr 0.9461 0.0539 0.7500
9 B 0.2732 0.7268 0.5318
10 B 0.2732 0.7268 0.9682
11 B 0.3690 0.6310 0.6514
12 B 0.3690 0.6310 0.8486
13 B 0.4609 0.5391 0.2500
14 B 0.4781 0.5219 0.5970
15 B 0.4781 0.5219 0.9030
16 B 0.5219 0.4781 0.0970
17 B 0.5219 0.4781 0.4030
18 B 0.5391 0.4609 0.7500
19 B 0.6310 0.3690 0.1514
20 B 0.6310 0.3690 0.3486
21 B 0.7268 0.2732 0.0318
22 B 0.7268 0.2732 0.4682

---

2.
This entry pairs a crystal structure of Pr4CuIr2 with its computed powder diffraction line list. Radiation: Cu Kα (weighted mean of Kα1 and Kα2). Structure: a structure optimized by DFT (GGA-PBE).

Main lines, sorted by position (2θ from 15° to 90°):
- 2.855 Å, 2θ 31.33, rel. 100
- 2.839 Å, 2θ 31.51, rel. 39
- 2.412 Å, 2θ 37.28, rel. 37
- 2.405 Å, 2θ 37.40, rel. 39
- 2.018 Å, 2θ 44.91, rel. 9
- 1.920 Å, 2θ 47.35, rel. 12
- 1.842 Å, 2θ 49.49, rel. 11
- 1.768 Å, 2θ 51.70, rel. 15
- 1.764 Å, 2θ 51.83, rel. 17
- 1.465 Å, 2θ 63.50, rel. 16

Structural model:
Lattice parameters (Å, degrees): 7.7995 7.7995 7.8078 109.28 109.28 109.78
Element x y z (fractional)
1 Pr 0.9999 0.0001 0.0000
2 Pr 0.0001 0.9999 0.5000
3 Pr 0.1260 0.6253 0.7518
4 Pr 0.3918 0.5202 0.1250
5 Pr 0.5202 0.3918 0.6250
6 Pr 0.5213 0.8936 0.6281
7 Pr 0.6253 0.1260 0.2518
8 Pr 0.8936 0.5213 0.1281
9 Cu 0.1357 0.3853 0.3761
10 Cu 0.3853 0.1357 0.8761
11 Ir 0.2605 0.8929 0.2603
12 Ir 0.6266 0.7595 0.9927
13 Ir 0.7595 0.6266 0.4927
14 Ir 0.8929 0.2605 0.7603

---

3.
This entry pairs a crystal structure of U3Tc2Ru with its computed powder diffraction line list. Radiation: Cu Kα (weighted mean of Kα1 and Kα2). Structure: a structure optimized by DFT (GGA-PBE).

Main lines, sorted by position (2θ from 15° to 90°):
- 3.538 Å, 2θ 25.17, rel. 65
- 2.992 Å, 2θ 29.87, rel. 30
- 2.595 Å, 2θ 34.56, rel. 22
- 2.547 Å, 2θ 35.23, rel. 98
- 2.469 Å, 2θ 36.39, rel. 80
- 2.459 Å, 2θ 36.54, rel. 88
- 2.312 Å, 2θ 38.95, rel. 100
- 2.136 Å, 2θ 42.31, rel. 57
- 1.769 Å, 2θ 51.67, rel. 66
- 1.421 Å, 2θ 65.71, rel. 22

Structural model:
Lattice parameters (Å, degrees): 5.0944 14.7553 3.0551 90.00 90.00 90.00
Element x y z (fractional)
1 U 0.2500 0.0855 0.1558
2 U 0.2500 0.4145 0.1558
3 U 0.2500 0.7500 0.8295
4 U 0.7500 0.2500 0.1705
5 U 0.7500 0.5855 0.8442
6 U 0.7500 0.9145 0.8442
7 Tc 0.2500 0.5904 0.5316
8 Tc 0.2500 0.9096 0.5316
9 Tc 0.7500 0.0904 0.4684
10 Tc 0.7500 0.4096 0.4684
11 Ru 0.2500 0.2500 0.7311
12 Ru 0.7500 0.7500 0.2689

---

4.
This entry pairs a crystal structure of NdV2Fe10N with its computed powder diffraction line list. Radiation: Cu Kα (weighted mean of Kα1 and Kα2). Structure: a structure optimized by DFT (GGA-PBE).

Main lines, sorted by position (2θ from 15° to 90°):
- 3.004 Å, 2θ 29.74, rel. 34
- 2.710 Å, 2θ 33.05, rel. 16
- 2.460 Å, 2θ 36.52, rel. 40
- 2.419 Å, 2θ 37.17, rel. 18
- 2.143 Å, 2θ 42.17, rel. 68
- 2.134 Å, 2θ 42.36, rel. 100
- 2.106 Å, 2θ 42.94, rel. 82
- 1.890 Å, 2θ 48.13, rel. 27
- 1.334 Å, 2θ 70.58, rel. 20
- 1.235 Å, 2θ 77.22, rel. 18

Structural model:
Lattice parameters (Å, degrees): 6.5261 6.5261 6.5261 136.49 97.99 97.80
Element x y z (fractional)
1 Nd 0.0000 0.0000 0.0000
2 V 0.3609 0.3609 0.0000
3 V 0.6391 0.6391 0.0000
4 Fe 0.0000 0.0000 0.5000
5 Fe 0.0000 0.5000 0.0000
6 Fe 0.2242 0.7242 0.5000
7 Fe 0.2251 0.5000 0.7251
8 Fe 0.3615 0.0000 0.3615
9 Fe 0.5000 0.0000 0.0000
10 Fe 0.5000 0.5000 0.5000
11 Fe 0.6385 0.0000 0.6385
12 Fe 0.7749 0.5000 0.2749
13 Fe 0.7758 0.2758 0.5000
14 N 0.0000 0.5000 0.5000

---

5.
This entry pairs a crystal structure of Er3PS2 with its computed powder diffraction line list. Radiation: Cu Kα (weighted mean of Kα1 and Kα2). Structure: a structure optimized by DFT (GGA-PBE).

Main lines, sorted by position (2θ from 15° to 90°):
- 3.192 Å, 2θ 27.95, rel. 65
- 3.179 Å, 2θ 28.06, rel. 65
- 2.763 Å, 2θ 32.40, rel. 100
- 2.750 Å, 2θ 32.56, rel. 50
- 1.949 Å, 2θ 46.60, rel. 90
- 1.668 Å, 2θ 55.05, rel. 20
- 1.662 Å, 2θ 55.27, rel. 31
- 1.596 Å, 2θ 57.77, rel. 19
- 1.590 Å, 2θ 58.02, rel. 19
- 1.125 Å, 2θ 86.49, rel. 19

Structural model:
Lattice parameters (Å, degrees): 3.8962 5.5008 11.7570 90.00 90.00 90.00
Element x y z (fractional)
1 Er 0.0000 0.0000 0.0000
2 Er 0.0000 0.0000 0.3385
3 Er 0.0000 0.0000 0.6615
4 Er 0.5000 0.5000 0.1615
5 Er 0.5000 0.5000 0.5000
6 Er 0.5000 0.5000 0.8385
7 P 0.0000 0.5000 0.0000
8 P 0.5000 0.0000 0.5000
9 S 0.0000 0.5000 0.3322
10 S 0.0000 0.5000 0.6678
11 S 0.5000 0.0000 0.1678
12 S 0.5000 0.0000 0.8322

---

6.
This entry pairs a crystal structure of CdC2S2N4Cl2 with its computed powder diffraction line list. Radiation: Cu Kα (weighted mean of Kα1 and Kα2). Structure: a structure optimized by DFT (GGA-PBE).

Main lines, sorted by position (2θ from 15° to 90°):
- 5.757 Å, 2θ 15.39, rel. 41
- 5.392 Å, 2θ 16.44, rel. 100
- 4.796 Å, 2θ 18.50, rel. 56
- 4.334 Å, 2θ 20.49, rel. 37
- 4.044 Å, 2θ 21.98, rel. 72
- 2.958 Å, 2θ 30.21, rel. 31
- 2.732 Å, 2θ 32.78, rel. 37
- 2.696 Å, 2θ 33.23, rel. 35
- 2.541 Å, 2θ 35.32, rel. 31
- 2.398 Å, 2θ 37.51, rel. 28

Structural model:
Lattice parameters (Å, degrees): 17.3367 5.7573 5.6739 90.00 90.00 90.00
Element x y z (fractional)
1 Cd 0.0000 0.0146 0.0000
2 Cd 0.5000 0.9854 0.5000
3 C 0.2489 0.7346 0.7868
4 C 0.2511 0.2654 0.2868
5 C 0.7489 0.2654 0.2868
6 C 0.7511 0.7346 0.7868
7 S 0.1031 0.7624 0.7664
8 S 0.3969 0.2376 0.2664
9 S 0.6031 0.2376 0.2664
10 S 0.8969 0.7624 0.7664
11 N 0.1852 0.8316 0.8689
12 N 0.1899 0.3347 0.2299
13 N 0.3101 0.6653 0.7299
14 N 0.3148 0.1684 0.3689
15 N 0.6852 0.1684 0.3689
16 N 0.6899 0.6653 0.7299
17 N 0.8101 0.3347 0.2299
18 N 0.8148 0.8316 0.8689
19 Cl 0.0000 0.0002 0.4389
20 Cl 0.0000 0.4524 0.9723
21 Cl 0.5000 0.9998 0.9389
22 Cl 0.5000 0.5476 0.4723

---

7.
This entry pairs a crystal structure of Cs3GaN with its computed powder diffraction line list. Radiation: Cu Kα (weighted mean of Kα1 and Kα2). Structure: a structure optimized by DFT (GGA-PBE).

Main lines, sorted by position (2θ from 15° to 90°):
- 3.495 Å, 2θ 25.49, rel. 100
- 3.026 Å, 2θ 29.52, rel. 58
- 2.140 Å, 2θ 42.23, rel. 43
- 1.825 Å, 2θ 49.98, rel. 47
- 1.747 Å, 2θ 52.36, rel. 15
- 1.513 Å, 2θ 61.26, rel. 7
- 1.389 Å, 2θ 67.45, rel. 19
- 1.353 Å, 2θ 69.45, rel. 19
- 1.236 Å, 2θ 77.21, rel. 14
- 1.165 Å, 2θ 82.88, rel. 15

Structural model:
Lattice parameters (Å, degrees): 6.0527 6.0527 6.0527 90.00 90.00 90.00
Element x y z (fractional)
1 Cs 0.0000 0.0000 0.5000
2 Cs 0.0000 0.5000 0.0000
3 Cs 0.5000 0.0000 0.0000
4 Ga 0.5000 0.5000 0.5000
5 N 0.0000 0.0000 0.0000

---

8.
This entry pairs a crystal structure of Ca2Nd4Bi3O2 with its computed powder diffraction line list. Radiation: Cu Kα (weighted mean of Kα1 and Kα2). Structure: a structure optimized by DFT (GGA-PBE).

Main lines, sorted by position (2θ from 15° to 90°):
- 4.787 Å, 2θ 18.53, rel. 31
- 3.551 Å, 2θ 25.08, rel. 35
- 3.329 Å, 2θ 26.78, rel. 20
- 3.042 Å, 2θ 29.36, rel. 17
- 2.694 Å, 2θ 33.26, rel. 100
- 2.436 Å, 2θ 36.91, rel. 48
- 2.009 Å, 2θ 45.14, rel. 15
- 1.722 Å, 2θ 53.19, rel. 17
- 1.617 Å, 2θ 56.95, rel. 16
- 1.451 Å, 2θ 64.19, rel. 31

Structural model:
Lattice parameters (Å, degrees): 13.4212 13.4212 13.4212 159.09 159.09 29.74
Element x y z (fractional)
1 Ca 0.1939 0.1939 0.0000
2 Ca 0.8061 0.8061 0.0000
3 Nd 0.0847 0.5847 0.5000
4 Nd 0.4153 0.9153 0.5000
5 Nd 0.5847 0.0847 0.5000
6 Nd 0.9153 0.4153 0.5000
7 Bi 0.3208 0.3208 0.0000
8 Bi 0.5000 0.5000 0.0000
9 Bi 0.6792 0.6792 0.0000
10 O 0.1033 0.1033 0.0000
11 O 0.8967 0.8967 0.0000

---

9.
This entry pairs a crystal structure of La4Tm11S22 with its computed powder diffraction line list. Radiation: Cu Kα (weighted mean of Kα1 and Kα2). Structure: a structure optimized by DFT (GGA-PBE).

Main lines, sorted by position (2θ from 15° to 90°):
- 3.774 Å, 2θ 23.57, rel. 78
- 3.662 Å, 2θ 24.30, rel. 100
- 3.378 Å, 2θ 26.38, rel. 63
- 3.255 Å, 2θ 27.40, rel. 47
- 3.226 Å, 2θ 27.66, rel. 67
- 2.841 Å, 2θ 31.48, rel. 64
- 2.641 Å, 2θ 33.94, rel. 54
- 2.144 Å, 2θ 42.14, rel. 57
- 2.051 Å, 2θ 44.15, rel. 36
- 1.976 Å, 2θ 45.93, rel. 44

Structural model:
Lattice parameters (Å, degrees): 19.6353 19.6353 11.3264 91.51 91.51 11.55
Element x y z (fractional)
1 La 0.1046 0.1046 0.0122
2 La 0.3671 0.3671 0.3492
3 La 0.6329 0.6329 0.6508
4 La 0.8954 0.8954 0.9878
5 Tm 0.0000 0.0000 0.0000
6 Tm 0.0701 0.0701 0.3618
7 Tm 0.2027 0.2027 0.9411
8 Tm 0.2632 0.2632 0.3519
9 Tm 0.3421 0.3421 0.7004
10 Tm 0.4620 0.4620 0.2689
11 Tm 0.5380 0.5380 0.7311
12 Tm 0.6579 0.6579 0.2996
13 Tm 0.7368 0.7368 0.6481
14 Tm 0.7973 0.7973 0.0589
15 Tm 0.9299 0.9299 0.6382
16 S 0.0080 0.0080 0.2404
17 S 0.0869 0.0869 0.7534
18 S 0.1354 0.1354 0.4500
19 S 0.1693 0.1693 0.1517
20 S 0.1900 0.1900 0.6907
21 S 0.2549 0.2549 0.1191
22 S 0.2802 0.2802 0.5895
23 S 0.3492 0.3492 0.0918
24 S 0.4071 0.4071 0.7854
25 S 0.4434 0.4434 0.4915
26 S 0.4538 0.4538 0.0301
27 S 0.5462 0.5462 0.9699
28 S 0.5566 0.5566 0.5085
29 S 0.5929 0.5929 0.2146
30 S 0.6508 0.6508 0.9082
31 S 0.7198 0.7198 0.4105
32 S 0.7451 0.7451 0.8809
33 S 0.8100 0.8100 0.3093
34 S 0.8307 0.8307 0.8483
35 S 0.8646 0.8646 0.5500
36 S 0.9131 0.9131 0.2466
37 S 0.9920 0.9920 0.7596

---

10.
This entry pairs a crystal structure of Li5BiP4O14 with its computed powder diffraction line list. Radiation: Cu Kα (weighted mean of Kα1 and Kα2). Structure: a structure optimized by DFT (GGA-PBE).

Main lines, sorted by position (2θ from 15° to 90°):
- 5.644 Å, 2θ 15.70, rel. 37
- 4.468 Å, 2θ 19.87, rel. 41
- 4.270 Å, 2θ 20.80, rel. 37
- 4.133 Å, 2θ 21.50, rel. 41
- 3.992 Å, 2θ 22.27, rel. 100
- 3.456 Å, 2θ 25.78, rel. 41
- 3.380 Å, 2θ 26.37, rel. 31
- 3.045 Å, 2θ 29.33, rel. 57
- 2.619 Å, 2θ 34.24, rel. 41
- 2.502 Å, 2θ 35.90, rel. 31

Structural model:
Lattice parameters (Å, degrees): 7.3468 8.5983 9.9544 76.22 75.31 68.71
Element x y z (fractional)
1 Li 0.0210 0.4780 0.1393
2 Li 0.2498 0.7293 0.9098
3 Li 0.3300 0.1996 0.2972
4 Li 0.3345 0.2372 0.6230
5 Li 0.4423 0.4857 0.3467
6 Li 0.5577 0.5143 0.6533
7 Li 0.6655 0.7628 0.3770
8 Li 0.6700 0.8004 0.7028
9 Li 0.7502 0.2707 0.0902
10 Li 0.9790 0.5220 0.8607
11 Bi 0.1239 0.8684 0.2413
12 Bi 0.8761 0.1316 0.7587
13 P 0.1326 0.6279 0.5777
14 P 0.1625 0.1406 0.9667
15 P 0.3097 0.8989 0.5429
16 P 0.4133 0.3365 0.9604
17 P 0.5867 0.6635 0.0396
18 P 0.6903 0.1011 0.4571
19 P 0.8375 0.8594 0.0333
20 P 0.8674 0.3721 0.4223
21 O 0.0503 0.2515 0.8447
22 O 0.0547 0.1949 0.1094
23 O 0.0676 0.3748 0.3360
24 O 0.1406 0.8084 0.6000
25 O 0.1585 0.6430 0.4156
26 O 0.2081 0.9517 0.9739
27 O 0.2205 0.0533 0.6197
28 O 0.2249 0.4893 0.9457
29 O 0.3103 0.4826 0.6252
30 O 0.3347 0.9447 0.3807
31 O 0.3732 0.1749 0.9252
32 O 0.4072 0.6488 0.1584
33 O 0.4588 0.2943 0.1077
34 O 0.4969 0.2290 0.4147
35 O 0.5031 0.7710 0.5853
36 O 0.5412 0.7057 0.8923
37 O 0.5928 0.3512 0.8416
38 O 0.6268 0.8251 0.0748
39 O 0.6653 0.0553 0.6193
40 O 0.6897 0.5174 0.3748
41 O 0.7751 0.5107 0.0543
42 O 0.7795 0.9467 0.3803
43 O 0.7919 0.0483 0.0261
44 O 0.8415 0.3570 0.5844
45 O 0.8594 0.1916 0.4000
46 O 0.9324 0.6252 0.6640
47 O 0.9453 0.8051 0.8906
48 O 0.9497 0.7485 0.1553

---

11.
This entry pairs a crystal structure of TlIn2Se2 with its computed powder diffraction line list. Radiation: Cu Kα (weighted mean of Kα1 and Kα2). Structure: a structure optimized by DFT (GGA-PBE).

Main lines, sorted by position (2θ from 15° to 90°):
- 3.396 Å, 2θ 26.24, rel. 27
- 3.359 Å, 2θ 26.54, rel. 28
- 3.150 Å, 2θ 28.34, rel. 30
- 3.075 Å, 2θ 29.04, rel. 100
- 2.932 Å, 2θ 30.49, rel. 85
- 2.843 Å, 2θ 31.47, rel. 65
- 2.792 Å, 2θ 32.05, rel. 34
- 2.369 Å, 2θ 37.98, rel. 19
- 2.156 Å, 2θ 41.90, rel. 27
- 2.090 Å, 2θ 43.30, rel. 33

Structural model:
Lattice parameters (Å, degrees): 6.6335 6.7671 7.3996 86.47 78.20 64.63
Element x y z (fractional)
1 Tl 0.1017 0.2166 0.4185
2 Tl 0.8983 0.7834 0.5815
3 In 0.2888 0.0376 0.9181
4 In 0.3679 0.4473 0.7998
5 In 0.6321 0.5527 0.2002
6 In 0.7112 0.9624 0.0819
7 Se 0.1743 0.7273 0.1360
8 Se 0.4150 0.7930 0.6020
9 Se 0.5850 0.2070 0.3980
10 Se 0.8257 0.2727 0.8640